# Hf3AgTe5
Calculated PXRD pattern, Cu Ka. Input: DFT lattice parameters and positions (GGA-PBE).
Intensities are scaled so that the largest is 100.

Cell and atoms:
Cell: 6.2643 6.2643 8.2983 Å, 90.00 90.00 120.00°
Space group P6/mmm (No. 191)
Symmetry-distinct sites (fractional):
Hf 0.0000 0.5000 0.0000
Ag 0.0000 0.0000 0.5000
Te 0.0000 0.0000 0.0000
Te 0.3333 0.6667 0.2703

Peak list (10 most intense, 15 to 90 degrees two-theta, by angle)
Position (°2θ)  I/Imax
27.1  25.3
28.5  37.7
33.0  21.9
34.8  46.3
35.9  22.9
39.7  100.0
43.6  18.1
59.0  24.5
73.5  16.2
76.2  20.8